For Mg5In4Pb2, a crystal structure in Alexandria, relaxed with PBE gives the computed powder diffraction line list in this record (λ = 1.5418 Å (Cu Kα)).
Intensities are scaled so that the largest is 100.

Structural model:
```
data_Mg5In4Pb2
_cell_length_a 7.5912
_cell_length_b 22.1306
_cell_length_c 3.2883
_cell_angle_alpha 90.00
_cell_angle_beta 90.00
_cell_angle_gamma 90.00
_symmetry_space_group_name_H-M 'P b a m'
_symmetry_Int_Tables_number 55
loop_
_symmetry_equiv_pos_as_xyz
'x,y,z'
'-x,-y,-z'
'-x,-y,z'
'x,y,-z'
'x+1/2,-y+1/2,-z'
'-x+1/2,y+1/2,z'
'-x+1/2,y+1/2,-z'
'x+1/2,-y+1/2,z'
loop_
_atom_site_label
_atom_site_type_symbol
_atom_site_fract_x
_atom_site_fract_y
_atom_site_fract_z
Mg1 Mg 0.0000 0.0000 0.0000
Mg2 Mg 0.1509 0.4159 0.0000
Mg3 Mg 0.1993 0.6673 0.0000
In1 In 0.0291 0.8721 0.5000
In2 In 0.1740 0.5426 0.5000
Pb1 Pb 0.1306 0.2798 0.5000
```

Main lines, low angle first (10 to 90 degrees two-theta):
d = 4.471 Å, 19.9 deg, I 71; d = 3.824 Å, 23.3 deg, I 64; d = 3.375 Å, 26.4 deg, I 90; d = 3.288 Å, 27.1 deg, I 99; d = 2.918 Å, 30.6 deg, I 74; d = 2.649 Å, 33.8 deg, I 89; d = 2.493 Å, 36.0 deg, I 66; d = 2.355 Å, 38.2 deg, I 100

For Rb2CuWSe4, a crystal structure in Alexandria, relaxed with PBE gives the computed powder diffraction line list in this record (λ = 1.5418 Å (Cu Kα)).
Intensities are scaled so that the largest is 100.

Structural model:
```
data_Rb2CuWSe4
_cell_length_a 5.6971
_cell_length_b 14.4220
_cell_length_c 24.8816
_cell_angle_alpha 90.00
_cell_angle_beta 90.00
_cell_angle_gamma 90.00
_symmetry_space_group_name_H-M 'F d d d'
_symmetry_Int_Tables_number 70
loop_
_symmetry_equiv_pos_as_xyz
'x,y,z'
'-x,-y,-z'
'-x+1/4,-y+1/4,z'
'x+1/4,y+1/4,-z'
'x,-y+1/4,-z+1/4'
'-x,y+1/4,z+1/4'
'-x+1/4,y,-z+1/4'
'x+1/4,-y,z+1/4'
'x,y+1/2,z+1/2'
'-x,-y+1/2,-z+1/2'
'-x+1/4,-y+3/4,z+1/2'
'x+1/4,y+3/4,-z+1/2'
'x,-y+3/4,-z+3/4'
'-x,y+3/4,z+3/4'
'-x+1/4,y+1/2,-z+3/4'
'x+1/4,-y+1/2,z+3/4'
'x+1/2,y,z+1/2'
'-x+1/2,-y,-z+1/2'
'-x+3/4,-y+1/4,z+1/2'
'x+3/4,y+1/4,-z+1/2'
'x+1/2,-y+1/4,-z+3/4'
'-x+1/2,y+1/4,z+3/4'
'-x+3/4,y,-z+3/4'
'x+3/4,-y,z+3/4'
'x+1/2,y+1/2,z'
'-x+1/2,-y+1/2,-z'
'-x+3/4,-y+3/4,z'
'x+3/4,y+3/4,-z'
'x+1/2,-y+3/4,-z+1/4'
'-x+1/2,y+3/4,z+1/4'
'-x+3/4,y+1/2,-z+1/4'
'x+3/4,-y+1/2,z+1/4'
loop_
_atom_site_label
_atom_site_type_symbol
_atom_site_fract_x
_atom_site_fract_y
_atom_site_fract_z
Rb1 Rb 0.1250 0.1250 0.3052
Cu1 Cu 0.1250 0.1250 0.1250
W1 W 0.1250 0.1250 0.6250
Se1 Se 0.1166 0.2781 0.8191
```

Main lines, low angle first (10 to 90 degrees two-theta):
d = 6.231 Å, 14.2 deg, I 100; d = 3.596 Å, 24.8 deg, I 43; d = 3.359 Å, 26.5 deg, I 80; d = 2.956 Å, 30.2 deg, I 21; d = 2.348 Å, 38.3 deg, I 36; d = 2.080 Å, 43.5 deg, I 21; d = 1.874 Å, 48.6 deg, I 19; d = 1.837 Å, 49.6 deg, I 24

For TlCuI4, a crystal structure in Alexandria, relaxed with PBE gives the computed powder diffraction line list in this record (λ = 1.5418 Å (Cu Kα)).
Intensities are scaled so that the largest is 100.

Structural model:
```
data_TlCuI4
_cell_length_a 8.4140
_cell_length_b 8.4140
_cell_length_c 9.7927
_cell_angle_alpha 90.00
_cell_angle_beta 90.00
_cell_angle_gamma 90.00
_symmetry_space_group_name_H-M 'P 42/m m c'
_symmetry_Int_Tables_number 131
_symmetry_space_group_name_Hall '-P 4c 2'
loop_
_atom_site_label
_atom_site_type_symbol
_atom_site_fract_x
_atom_site_fract_y
_atom_site_fract_z
Tl1 Tl 0.0000 0.5000 0.0000
Cu1 Cu 0.0000 0.0000 0.0000
I1 I 0.2031 0.2343 0.5000
```

Main lines, low angle first (10 to 90 degrees two-theta):
d = 8.414 Å, 10.5 deg, I 32; d = 6.382 Å, 13.9 deg, I 26; d = 4.896 Å, 18.1 deg, I 100; d = 3.512 Å, 25.4 deg, I 37; d = 2.975 Å, 30.0 deg, I 45; d = 2.542 Å, 35.3 deg, I 58; d = 2.105 Å, 43.0 deg, I 28; d = 1.890 Å, 48.1 deg, I 24

For Ac8RuRh3, a crystal structure in Alexandria, relaxed with PBE gives the computed powder diffraction line list in this record (λ = 1.5418 Å (Cu Kα)).
Intensities are scaled so that the largest is 100.

Structural model:
```
data_Ac8RuRh3
_cell_length_a 14.2467
_cell_length_b 8.7441
_cell_length_c 8.3413
_cell_angle_alpha 90.00
_cell_angle_beta 122.05
_cell_angle_gamma 90.00
_symmetry_space_group_name_H-M 'C 1 2/m 1'
_symmetry_Int_Tables_number 12
loop_
_symmetry_equiv_pos_as_xyz
'x,y,z'
'-x,-y,-z'
'-x,y,-z'
'x,-y,z'
'x+1/2,y+1/2,z'
'-x+1/2,-y+1/2,-z'
'-x+1/2,y+1/2,-z'
'x+1/2,-y+1/2,z'
loop_
_atom_site_label
_atom_site_type_symbol
_atom_site_fract_x
_atom_site_fract_y
_atom_site_fract_z
Ac1 Ac 0.0031 0.2461 0.2433
Ac2 Ac 0.2430 0.0000 0.2489
Ac3 Ac 0.2447 0.5000 0.2550
Ru1 Ru 0.0000 0.0000 0.0000
Rh1 Rh 0.0000 0.5000 0.0000
Rh2 Rh 0.2500 0.2500 0.5000
```

Main lines, low angle first (10 to 90 degrees two-theta):
d = 6.656 Å, 13.3 deg, I 16; d = 3.539 Å, 25.2 deg, I 56; d = 3.328 Å, 26.8 deg, I 16; d = 3.016 Å, 29.6 deg, I 100; d = 2.185 Å, 41.3 deg, I 42; d = 2.085 Å, 43.4 deg, I 23; d = 1.769 Å, 51.7 deg, I 24; d = 1.375 Å, 68.2 deg, I 21